Diffraction record for Ti12CrGa6. The X-ray powder pattern is computed, not measured: it uses a DFT-relaxed cell (PBE, Alexandria) and Cu Kα (λ = 1.5418 Å).

Principal peaks in the range 2θ = 15–90°, by angle:
2θ = 29.63°, I = 165; 2θ = 40.07°, I = 1000; 2θ = 40.18°, I = 255; 2θ = 42.36°, I = 792; 2θ = 44.52°, I = 148; 2θ = 71.20°, I = 130; 2θ = 71.35°, I = 125; 2θ = 75.89°, I = 143

Lattice parameters (Å, degrees): 6.7467 6.7467 6.7467 90.13 90.13 90.13
Positions (direct):
1 Ti 0.0214 0.3048 0.9428
2 Ti 0.0572 0.9786 0.6952
3 Ti 0.1307 0.3572 0.4506
4 Ti 0.3048 0.9428 0.0214
5 Ti 0.3572 0.4506 0.1307
6 Ti 0.4506 0.1307 0.3572
7 Ti 0.5494 0.8693 0.6428
8 Ti 0.6428 0.5494 0.8693
9 Ti 0.6952 0.0572 0.9786
10 Ti 0.8693 0.6428 0.5494
11 Ti 0.9428 0.0214 0.3048
12 Ti 0.9786 0.6952 0.0572
13 Cr 0.5000 0.5000 0.5000
14 Ga 0.2296 0.7570 0.3798
15 Ga 0.2430 0.6202 0.7704
16 Ga 0.3798 0.2296 0.7570
17 Ga 0.6202 0.7704 0.2430
18 Ga 0.7570 0.3798 0.2296
19 Ga 0.7704 0.2430 0.6202

Diffraction record for TiCrGa3. The X-ray powder pattern is computed, not measured: it uses a DFT-relaxed cell (PBE, Alexandria) and Cu Kα (λ = 1.5418 Å).

Principal peaks in the range 2θ = 15–90°, by angle:
2θ = 26.10°, I = 170; 2θ = 29.08°, I = 212; 2θ = 38.44°, I = 184; 2θ = 40.78°, I = 513; 2θ = 41.41°, I = 1000; 2θ = 42.40°, I = 412; 2θ = 43.73°, I = 573; 2θ = 60.28°, I = 279

Lattice parameters (Å, degrees): 4.4259 5.3637 7.0257 90.00 90.00 90.00
Positions (direct):
1 Ti 0.2500 0.2500 0.1180
2 Ti 0.7500 0.7500 0.8820
3 Cr 0.2500 0.7500 0.1073
4 Cr 0.7500 0.2500 0.8927
5 Ga 0.2500 0.0090 0.7786
6 Ga 0.2500 0.4910 0.7786
7 Ga 0.2500 0.7500 0.4555
8 Ga 0.7500 0.2500 0.5445
9 Ga 0.7500 0.5090 0.2214
10 Ga 0.7500 0.9910 0.2214

Diffraction record for Ti4CrGa3. The X-ray powder pattern is computed, not measured: it uses a DFT-relaxed cell (PBE, Alexandria) and Cu Kα (λ = 1.5418 Å).

Principal peaks in the range 2θ = 15–90°, by angle:
2θ = 30.21°, I = 35; 2θ = 39.97°, I = 1000; 2θ = 43.25°, I = 398; 2θ = 52.49°, I = 104; 2θ = 62.82°, I = 121; 2θ = 70.29°, I = 163; 2θ = 77.10°, I = 254; 2θ = 86.23°, I = 91

Lattice parameters (Å, degrees): 7.5749 7.5749 7.5749 147.94 147.94 45.98
Positions (direct):
1 Ti 0.1193 0.6193 0.5000
2 Ti 0.3807 0.8807 0.5000
3 Ti 0.6193 0.1193 0.5000
4 Ti 0.8807 0.3807 0.5000
5 Cr 0.0000 0.0000 0.0000
6 Ga 0.2470 0.2470 0.0000
7 Ga 0.5000 0.5000 0.0000
8 Ga 0.7530 0.7530 0.0000

Diffraction record for V3Cr2Ga3. The X-ray powder pattern is computed, not measured: it uses a DFT-relaxed cell (PBE, Alexandria) and Cu Kα (λ = 1.5418 Å).

Principal peaks in the range 2θ = 15–90°, by angle:
2θ = 41.33°, I = 1000; 2θ = 42.39°, I = 432; 2θ = 43.66°, I = 416; 2θ = 43.84°, I = 953; 2θ = 61.17°, I = 171; 2θ = 66.26°, I = 112; 2θ = 77.24°, I = 129; 2θ = 78.13°, I = 138

Lattice parameters (Å, degrees): 3.0304 4.2903 8.5178 98.27 100.24 90.00
Positions (direct):
1 V 0.0000 0.0000 0.0000
2 V 0.1283 0.6853 0.2571
3 V 0.8717 0.3147 0.7429
4 Cr 0.2619 0.2560 0.5243
5 Cr 0.7381 0.7440 0.4757
6 Ga 0.3643 0.8124 0.7279
7 Ga 0.5000 0.5000 0.0000
8 Ga 0.6357 0.1876 0.2721

Diffraction record for V5CrGa4. The X-ray powder pattern is computed, not measured: it uses a DFT-relaxed cell (PBE, Alexandria) and Cu Kα (λ = 1.5418 Å).

Principal peaks in the range 2θ = 15–90°, by angle:
2θ = 32.91°, I = 380; 2θ = 37.12°, I = 195; 2θ = 37.87°, I = 1000; 2θ = 40.95°, I = 197; 2θ = 47.86°, I = 449; 2θ = 51.03°, I = 626; 2θ = 54.64°, I = 237; 2θ = 81.53°, I = 186

Lattice parameters (Å, degrees): 5.9685 5.9685 5.9685 102.00 102.00 125.75
Positions (direct):
1 V 0.0000 0.0000 0.0000
2 V 0.4845 0.8159 0.8289
3 V 0.6556 0.4845 0.6687
4 V 0.8159 0.9870 0.3313
5 V 0.9870 0.6556 0.1711
6 Cr 0.4877 0.4877 0.0000
7 Ga 0.1666 0.9531 0.6395
8 Ga 0.3135 0.5270 0.3605
9 Ga 0.5270 0.1666 0.2135
10 Ga 0.9531 0.3135 0.7865

Diffraction record for V6Cr2Ga. The X-ray powder pattern is computed, not measured: it uses a DFT-relaxed cell (PBE, Alexandria) and Cu Kα (λ = 1.5418 Å).

Principal peaks in the range 2θ = 15–90°, by angle:
2θ = 42.72°, I = 1000; 2θ = 42.86°, I = 495; 2θ = 43.03°, I = 492; 2θ = 43.51°, I = 933; 2θ = 62.35°, I = 293; 2θ = 77.86°, I = 150; 2θ = 78.66°, I = 140; 2θ = 79.21°, I = 268

Lattice parameters (Å, degrees): 6.5457 6.5457 4.8653 110.21 110.21 37.46
Positions (direct):
1 V 0.0566 0.0566 0.2584
2 V 0.1653 0.1653 0.8359
3 V 0.2771 0.2771 0.3974
4 V 0.7229 0.7229 0.6026
5 V 0.8347 0.8347 0.1641
6 V 0.9434 0.9434 0.7416
7 Cr 0.3861 0.3861 0.9330
8 Cr 0.6139 0.6139 0.0670
9 Ga 0.5000 0.5000 0.5000

Diffraction record for V3CrGa2. The X-ray powder pattern is computed, not measured: it uses a DFT-relaxed cell (PBE, Alexandria) and Cu Kα (λ = 1.5418 Å).

Principal peaks in the range 2θ = 15–90°, by angle:
2θ = 42.04°, I = 1000; 2θ = 43.69°, I = 222; 2θ = 44.24°, I = 218; 2θ = 57.91°, I = 88; 2θ = 63.93°, I = 131; 2θ = 75.27°, I = 74; 2θ = 79.11°, I = 130; 2θ = 79.81°, I = 68

Lattice parameters (Å, degrees): 4.0943 8.2876 5.1923 90.00 113.07 90.00
Positions (direct):
1 V 0.0000 0.2339 0.0000
2 V 0.0000 0.7661 0.0000
3 V 0.3296 0.2498 0.6580
4 V 0.3296 0.7502 0.6580
5 V 0.6704 0.2498 0.3420
6 V 0.6704 0.7502 0.3420
7 Cr 0.1780 0.0000 0.3598
8 Cr 0.8220 0.0000 0.6402
9 Ga 0.1620 0.5000 0.3245
10 Ga 0.5000 0.0000 0.0000
11 Ga 0.5000 0.5000 0.0000
12 Ga 0.8380 0.5000 0.6755

Diffraction record for VCrGa3. The X-ray powder pattern is computed, not measured: it uses a DFT-relaxed cell (PBE, Alexandria) and Cu Kα (λ = 1.5418 Å).

Principal peaks in the range 2θ = 15–90°, by angle:
2θ = 19.24°, I = 346; 2θ = 33.64°, I = 903; 2θ = 39.05°, I = 1000; 2θ = 43.88°, I = 162; 2θ = 56.41°, I = 645; 2θ = 67.31°, I = 345; 2θ = 70.73°, I = 209; 2θ = 83.88°, I = 97

Lattice parameters (Å, degrees): 4.6138 4.6138 4.6138 90.00 90.00 90.00
Positions (direct):
1 V 0.0000 0.0000 0.0000
2 Cr 0.5000 0.5000 0.5000
3 Ga 0.0000 0.5000 0.5000
4 Ga 0.5000 0.0000 0.5000
5 Ga 0.5000 0.5000 0.0000